Diffraction record for Li3Ni. The X-ray powder pattern is computed, not measured: it uses a crystal structure in the Materials Project, relaxed with PBE and CuKα.

The 6 most intense peaks (2θ from 10° to 90°), by angle:
Position (°2θ)	d_spacing	I_rel	(hkl)
23.5	3.788	32.8	0 0 2
26.2	3.404	100.0	1 0 1
33.3	2.694	26.7	1 1 0
41.1	2.195	52.3	1 1 2
43.0	2.105	25.5	1 0 3
55.3	1.662	22.9	2 1 1

Cell and atoms:
```
data_Li3Ni
_cell_length_a 3.8098
_cell_length_b 3.8098
_cell_length_c 7.5759
_cell_angle_alpha 90.00
_cell_angle_beta 90.00
_cell_angle_gamma 90.00
_symmetry_space_group_name_H-M 'I 4/m m m'
_symmetry_Int_Tables_number 139
_symmetry_space_group_name_Hall '-I 4 2'
loop_
_atom_site_label
_atom_site_fract_x
_atom_site_fract_y
_atom_site_fract_z
Li1 0.0000 0.0000 0.0000
Li2 0.0000 0.5000 0.2500
Ni1 0.0000 0.0000 0.5000
```

Diffraction record for LiNi3. The X-ray powder pattern is computed, not measured: it uses a crystal structure in the Materials Project, relaxed with PBE and CuKα.

The 6 most intense peaks (2θ from 10° to 90°), by angle:
Position (°2θ)	d_spacing	I_rel	(hkl)
25.6	3.476	10.5	0 0 2
28.4	3.144	32.3	1 0 1
44.7	2.026	100.0	1 1 2
51.9	1.763	31.4	2 0 0
52.7	1.738	15.0	0 0 4
77.1	1.238	17.6	2 0 4

Cell and atoms:
```
data_LiNi3
_cell_length_a 3.5257
_cell_length_b 3.5257
_cell_length_c 6.9522
_cell_angle_alpha 90.00
_cell_angle_beta 90.00
_cell_angle_gamma 90.00
_symmetry_space_group_name_H-M 'I 4/m m m'
_symmetry_Int_Tables_number 139
_symmetry_space_group_name_Hall '-I 4 2'
loop_
_atom_site_label
_atom_site_fract_x
_atom_site_fract_y
_atom_site_fract_z
Li1 0.0000 0.0000 0.0000
Ni1 0.0000 0.0000 0.5000
Ni2 0.0000 0.5000 0.2500
```

Diffraction record for Li3Ni. The X-ray powder pattern is computed, not measured: it uses a crystal structure in the Materials Project, relaxed with PBE and CuKα.

The 6 most intense peaks (2θ from 10° to 90°), by angle:
Position (°2θ)	d_spacing	I_rel	(hkl)
18.8	4.708	45.5	1 0 0
27.5	3.240	100.0	1 0 1
33.0	2.718	42.4	1 1 0
43.5	2.082	51.3	2 0 1
53.1	1.725	20.3	1 1 2
55.6	1.653	27.2	2 1 1

Cell and atoms:
```
data_Li3Ni
_cell_length_a 5.4366
_cell_length_b 5.4366
_cell_length_c 4.4653
_cell_angle_alpha 90.00
_cell_angle_beta 90.00
_cell_angle_gamma 120.00
_symmetry_space_group_name_H-M 'P 63/m m c'
_symmetry_Int_Tables_number 194
_symmetry_space_group_name_Hall '-P 6c 2c'
loop_
_atom_site_label
_atom_site_fract_x
_atom_site_fract_y
_atom_site_fract_z
Li1 0.1746 0.3492 0.2500
Ni1 0.3333 0.6667 0.7500
```

Diffraction record for Li5Ni9P7. The X-ray powder pattern is computed, not measured: it uses a crystal structure in the Materials Project, relaxed with PBE and CuKα.

The 6 most intense peaks (2θ from 10° to 90°), by angle:
Position (°2θ)	d_spacing	I_rel	(hkl)
19.6	4.528	64.2	1 1 0
22.7	3.922	37.9	2 0 0
27.2	3.278	28.1	1 0 1
39.3	2.291	100.0	1 2 1
48.9	1.863	57.2	3 1 1
53.2	1.723	37.9	4 0 1

Cell and atoms:
```
data_Li5Ni9P7
_cell_length_a 9.0567
_cell_length_b 9.0567
_cell_length_c 3.6087
_cell_angle_alpha 90.00
_cell_angle_beta 90.00
_cell_angle_gamma 120.00
_symmetry_space_group_name_H-M 'P -6'
_symmetry_Int_Tables_number 174
_symmetry_space_group_name_Hall 'P -6'
loop_
_atom_site_label
_atom_site_fract_x
_atom_site_fract_y
_atom_site_fract_z
Li1 0.0000 0.0000 0.0000
Li2 0.2127 0.4484 0.0000
Li3 0.6667 0.3333 0.5000
Ni1 0.0484 0.5474 0.5000
Ni2 0.2765 0.0407 0.5000
Ni3 0.3816 0.2783 0.0000
P1 0.0343 0.7891 0.5000
P2 0.3333 0.6667 0.5000
P3 0.4600 0.0831 0.0000
```

Diffraction record for Li2NiP2S6. The X-ray powder pattern is computed, not measured: it uses a crystal structure in the Materials Project, relaxed with PBE and CuKα.

The 6 most intense peaks (2θ from 10° to 90°), by angle:
Position (°2θ)	d_spacing	I_rel	(hkl)
12.6	7.019	100.0	0 0 1
17.6	5.038	24.9	1 1 0
30.1	2.966	26.8	2 1 1
34.4	2.610	40.2	1 2 -1
34.5	2.600	75.0	-1 1 1
53.0	1.729	27.2	3 0 1

Cell and atoms:
```
data_Li2NiP2S6
_cell_length_a 5.9875
_cell_length_b 5.9924
_cell_length_c 7.2935
_cell_angle_alpha 82.47
_cell_angle_beta 74.22
_cell_angle_gamma 60.06
_symmetry_space_group_name_H-M 'P 1'
_symmetry_Int_Tables_number 1
_symmetry_space_group_name_Hall 'P 1'
loop_
_atom_site_label
_atom_site_fract_x
_atom_site_fract_y
_atom_site_fract_z
Li1 0.0000 0.0000 0.0000
Li2 0.0941 0.6627 0.4924
Ni1 0.7663 0.3275 0.4924
P1 0.3880 0.9972 0.6386
P2 0.4894 0.9938 0.3263
S1 0.0192 0.3111 0.7173
S2 0.1568 0.0178 0.2774
S3 0.3793 0.6622 0.7159
S4 0.5414 0.3078 0.2525
S5 0.6824 0.0215 0.7069
S6 0.8266 0.6534 0.2551
```

Diffraction record for LiNi9S10. The X-ray powder pattern is computed, not measured: it uses a crystal structure in the Materials Project, relaxed with PBE and CuKα.

The 6 most intense peaks (2θ from 10° to 90°), by angle:
Position (°2θ)	d_spacing	I_rel	(hkl)
30.0	2.982	83.6	1 1 1
34.7	2.587	35.2	1 2 0
46.1	1.970	51.3	2 -2 1
46.2	1.963	100.0	1 1 -4
53.1	1.725	23.7	3 1 0
53.3	1.720	46.9	0 2 3

Cell and atoms:
```
data_LiNi9S10
_cell_length_a 5.9663
_cell_length_b 6.2490
_cell_length_c 7.9271
_cell_angle_alpha 101.13
_cell_angle_beta 111.82
_cell_angle_gamma 90.06
_symmetry_space_group_name_H-M 'P -1'
_symmetry_Int_Tables_number 2
_symmetry_space_group_name_Hall '-P 1'
loop_
_atom_site_label
_atom_site_fract_x
_atom_site_fract_y
_atom_site_fract_z
Li1 0.0000 0.0000 0.0000
Ni1 0.0970 0.7071 0.1982
Ni2 0.1951 0.3960 0.3932
Ni3 0.3032 0.1033 0.6003
Ni4 0.4009 0.8054 0.8057
Ni5 0.5000 0.5000 0.0000
S1 0.0807 0.7496 0.5013
S2 0.1238 0.6339 0.9030
S3 0.2918 0.1544 0.8920
S4 0.3197 0.0462 0.3061
S5 0.4786 0.5431 0.3035
```

Diffraction record for LiNiS2. The X-ray powder pattern is computed, not measured: it uses a crystal structure in the Materials Project, relaxed with PBE and CuKα.

The 6 most intense peaks (2θ from 10° to 90°), by angle:
Position (°2θ)	d_spacing	I_rel	(hkl)
15.4	5.759	100.0	1 0 0
34.0	2.637	82.5	1 1 1
43.8	2.066	70.7	2 0 -2
53.5	1.713	32.4	0 2 0
56.0	1.642	17.6	1 1 -3
57.2	1.612	24.1	3 0 2

Cell and atoms:
```
data_LiNiS2
_cell_length_a 5.7588
_cell_length_b 3.4256
_cell_length_c 5.9340
_cell_angle_alpha 90.00
_cell_angle_beta 90.08
_cell_angle_gamma 90.00
_symmetry_space_group_name_H-M 'P 1 2/c 1'
_symmetry_Int_Tables_number 13
_symmetry_space_group_name_Hall '-P 2yc'
loop_
_atom_site_label
_atom_site_fract_x
_atom_site_fract_y
_atom_site_fract_z
Li1 0.0000 0.2421 0.2500
Ni1 0.5000 0.2462 0.2500
S1 0.2887 0.2533 0.5813
```

Diffraction record for LiNiS2. The X-ray powder pattern is computed, not measured: it uses a crystal structure in the Materials Project, relaxed with PBE and CuKα.

The 6 most intense peaks (2θ from 10° to 90°), by angle:
Position (°2θ)	d_spacing	I_rel	(hkl)
15.3	5.783	100.0	1 0 0
34.0	2.641	81.6	1 0 2
43.7	2.071	70.4	2 0 2
53.5	1.714	32.1	0 2 0
56.0	1.643	17.5	1 2 0
57.0	1.617	24.0	3 1 1

Cell and atoms:
```
data_LiNiS2
_cell_length_a 5.7832
_cell_length_b 3.4273
_cell_length_c 5.9355
_cell_angle_alpha 90.00
_cell_angle_beta 90.01
_cell_angle_gamma 90.00
_symmetry_space_group_name_H-M 'P 1 2/c 1'
_symmetry_Int_Tables_number 13
_symmetry_space_group_name_Hall '-P 2yc'
loop_
_atom_site_label
_atom_site_fract_x
_atom_site_fract_y
_atom_site_fract_z
Li1 0.0000 0.2488 0.2500
Ni1 0.5000 0.2498 0.2500
S1 0.2890 0.2502 0.9166
```

Diffraction record for Li2Ni2S3. The X-ray powder pattern is computed, not measured: it uses a crystal structure in the Materials Project, relaxed with PBE and CuKα.

The 6 most intense peaks (2θ from 10° to 90°), by angle:
Position (°2θ)	d_spacing	I_rel	(hkl)
15.4	5.771	100.0	2 0 0
24.3	3.661	31.9	3 1 0
26.4	3.374	70.4	1 3 -1
27.8	3.204	33.2	2 0 -2
41.4	2.179	32.1	5 3 -1
48.4	1.881	56.9	3 3 -3

Cell and atoms:
```
data_Li2Ni2S3
_cell_length_a 13.0662
_cell_length_b 11.9070
_cell_length_c 6.4099
_cell_angle_alpha 90.00
_cell_angle_beta 117.95
_cell_angle_gamma 90.00
_symmetry_space_group_name_H-M 'C 1 2/c 1'
_symmetry_Int_Tables_number 15
_symmetry_space_group_name_Hall '-C 2yc'
loop_
_atom_site_label
_atom_site_fract_x
_atom_site_fract_y
_atom_site_fract_z
Li1 0.0000 0.0630 0.2500
Li2 0.0000 0.2202 0.7500
Li3 0.1219 0.4187 0.0778
Ni1 0.1808 0.2421 0.6031
Ni2 0.1990 0.0839 0.1081
S1 0.1081 0.3887 0.6876
S2 0.1306 0.2224 0.2256
S3 0.1532 0.0748 0.7297
```